No. 1
Diffraction record for LiVF4. The powder diffraction line list is theoretical, not measured: it uses the PBE+U geometry in the Materials Project and Cu Kα (weighted mean of Kα1 and Kα2).

Structural model:
a = 6.528 Å, b = 6.772 Å, c = 3.131 Å
α = 90.00°, β = 90.00°, γ = 90.00°
Fractional coordinates of all 12 atoms:
Li 0.250 0.250 0.016
Li 0.750 0.750 0.984
V 0.250 0.750 0.499
V 0.750 0.250 0.501
F 0.043 0.250 0.505
F 0.250 0.560 0.999
F 0.250 0.940 0.999
F 0.457 0.250 0.505
F 0.543 0.750 0.495
F 0.750 0.060 0.001
F 0.750 0.440 0.001
F 0.957 0.750 0.495

Largest 10 diffraction maxima, by angle, 2θ = 10–90°:
d [Å]	Rel. int.
4.700	1000
3.386	395
3.264	304
2.606	155
2.299	740
2.072	315
1.763	299
1.728	210
1.566	148
1.401	255



No. 2
Diffraction record for Li2V2P3O12. The powder diffraction line list is theoretical, not measured: it uses the PBE+U geometry in the Materials Project and Cu Kα (weighted mean of Kα1 and Kα2).

Structural model:
a = 8.657 Å, b = 8.662 Å, c = 8.676 Å
α = 119.73°, β = 119.15°, γ = 90.67°
Fractional coordinates of all 38 atoms:
Li 0.178 0.050 0.238
Li 0.320 0.546 0.874
Li 0.680 0.454 0.126
Li 0.822 0.950 0.762
V 0.139 0.856 0.716
V 0.364 0.643 0.281
V 0.636 0.357 0.719
V 0.861 0.144 0.284
P 0.032 0.249 0.782
P 0.252 0.465 0.506
P 0.457 0.965 0.206
P 0.543 0.035 0.794
P 0.748 0.535 0.494
P 0.968 0.751 0.218
O 0.010 0.800 0.437
O 0.049 0.077 0.796
O 0.093 0.268 0.338
O 0.133 0.711 0.203
O 0.189 0.615 0.637
O 0.217 0.415 0.954
O 0.266 0.941 0.016
O 0.301 0.508 0.383
O 0.377 0.982 0.797
O 0.414 0.449 0.680
O 0.439 0.769 0.169
O 0.464 0.113 0.407
O 0.536 0.887 0.593
O 0.561 0.231 0.831
O 0.586 0.551 0.320
O 0.623 0.018 0.203
O 0.699 0.492 0.617
O 0.734 0.059 0.984
O 0.783 0.585 0.046
O 0.811 0.385 0.363
O 0.867 0.289 0.797
O 0.907 0.732 0.662
O 0.951 0.923 0.204
O 0.990 0.200 0.563

Largest 10 diffraction maxima, by angle, 2θ = 10–90°:
d [Å]	Rel. int.
4.346	1000
4.329	676
3.737	546
3.724	901
3.705	467
3.684	975
3.101	387
3.079	390
3.044	262
2.499	258



No. 3
Diffraction record for MnCuAg2O4. The powder diffraction line list is theoretical, not measured: it uses the PBE+U geometry in the Materials Project and Cu Kα (weighted mean of Kα1 and Kα2).

Structural model:
a = 5.279 Å, b = 3.071 Å, c = 6.498 Å
α = 90.00°, β = 105.98°, γ = 90.00°
Fractional coordinates of all 8 atoms:
Mn 0.000 0.000 0.000
Cu 0.500 0.500 0.000
Ag 0.000 0.500 0.500
Ag 0.500 0.000 0.500
O 0.103 0.500 0.837
O 0.376 0.000 0.160
O 0.624 0.000 0.840
O 0.897 0.500 0.163

Largest 10 diffraction maxima, by angle, 2θ = 10–90°:
d [Å]	Rel. int.
3.123	682
2.627	187
2.555	1000
2.537	487
2.306	710
1.758	374
1.748	183
1.535	121
1.529	218
1.527	235



No. 4
Diffraction record for TeWO6. The powder diffraction line list is theoretical, not measured: it uses the PBE+U geometry in the Materials Project and Cu Kα (weighted mean of Kα1 and Kα2).

Structural model:
a = 5.419 Å, b = 5.419 Å, c = 5.419 Å
α = 60.00°, β = 60.00°, γ = 60.00°
Fractional coordinates of all 8 atoms:
Te 0.000 0.000 0.000
W 0.500 0.500 0.500
O 0.249 0.249 0.751
O 0.249 0.751 0.249
O 0.249 0.751 0.751
O 0.751 0.249 0.249
O 0.751 0.249 0.751
O 0.751 0.751 0.249

Largest 10 diffraction maxima, by angle, 2θ = 10–90°:
d [Å]	Rel. int.
3.832	1000
2.710	512
2.212	115
1.916	198
1.714	398
1.564	206
1.355	117
1.277	182
1.212	91
1.155	57